[1]
The following is a calculated powder diffractogram of PmDyOsO6. It was derived from a cell relaxed with GGA-PBE, using Cu Kα (λ = 1.5418 Å).
Kinematic intensities with the Lorentz-polarization factor, no thermal factor.

Main lines, in order of falling intensity (2θ = 10–90°):
| Position (°2θ) | d (Å) | Rel. int. |
| --- | --- | --- |
| 25.99 | 3.428 | 1000 |
| 32.41 | 2.762 | 546 |
| 49.66 | 1.836 | 474 |
| 42.01 | 2.151 | 274 |
| 54.04 | 1.697 | 266 |
| 18.05 | 4.914 | 179 |
| 57.82 | 1.595 | 166 |
| 37.35 | 2.408 | 162 |
| 79.64 | 1.204 | 115 |
| 70.38 | 1.338 | 114 |
| 74.00 | 1.281 | 106 |
| 36.57 | 2.457 | 106 |

Structure:
```
data_PmDyOsO6
_chemical_formula_sum 'Pm2 Dy2 Os2 O12'
_cell_length_a 5.5242
_cell_length_b 5.5242
_cell_length_c 9.8278
_cell_angle_alpha 90.00
_cell_angle_beta 90.00
_cell_angle_gamma 120.00
_symmetry_space_group_name_H-M 'P 1'
_symmetry_Int_Tables_number 1
loop_
_symmetry_equiv_pos_as_xyz
'x,y,z'
loop_
_atom_site_label
_atom_site_type_symbol
_atom_site_fract_x
_atom_site_fract_y
_atom_site_fract_z
Pm1 Pm 0.0000 0.0000 0.0000
Pm2 Pm 0.0000 0.0000 0.5000
Dy1 Dy 0.3333 0.6667 0.2500
Dy2 Dy 0.6667 0.3333 0.7500
Os1 Os 0.3333 0.6667 0.7500
Os2 Os 0.6667 0.3333 0.2500
O1 O 0.0430 0.3748 0.6380
O2 O 0.0430 0.6682 0.8620
O3 O 0.3318 0.3748 0.8620
O4 O 0.3318 0.9570 0.6380
O5 O 0.3748 0.0430 0.1380
O6 O 0.3748 0.3318 0.3620
O7 O 0.6252 0.6682 0.6380
O8 O 0.6252 0.9570 0.8620
O9 O 0.6682 0.0430 0.3620
O10 O 0.6682 0.6252 0.1380
O11 O 0.9570 0.3318 0.1380
O12 O 0.9570 0.6252 0.3620
```



[2]
The following is a calculated powder diffractogram of KBeCdF5. It was derived from a cell relaxed with GGA-PBE, using Cu Kα (λ = 1.5418 Å).
Kinematic intensities with the Lorentz-polarization factor, no thermal factor.

Main lines, in order of falling intensity (2θ = 10–90°):
| Position (°2θ) | d (Å) | Rel. int. |
| --- | --- | --- |
| 24.75 | 3.597 | 1000 |
| 16.38 | 5.412 | 976 |
| 30.98 | 2.887 | 899 |
| 27.28 | 3.269 | 509 |
| 47.67 | 1.908 | 371 |
| 18.39 | 4.823 | 290 |
| 40.03 | 2.253 | 223 |
| 35.49 | 2.529 | 186 |
| 48.22 | 1.887 | 185 |
| 55.10 | 1.667 | 180 |
| 42.53 | 2.126 | 177 |
| 50.60 | 1.804 | 174 |

Structure:
```
data_KBeCdF5
_chemical_formula_sum 'K2 Be2 Cd2 F10'
_cell_length_a 5.9961
_cell_length_b 5.9961
_cell_length_c 7.8612
_cell_angle_alpha 103.65
_cell_angle_beta 103.65
_cell_angle_gamma 107.11
_symmetry_space_group_name_H-M 'P 1'
_symmetry_Int_Tables_number 1
loop_
_symmetry_equiv_pos_as_xyz
'x,y,z'
loop_
_atom_site_label
_atom_site_type_symbol
_atom_site_fract_x
_atom_site_fract_y
_atom_site_fract_z
K1 K 0.1531 0.8469 0.7500
K2 K 0.8469 0.1531 0.2500
Be1 Be 0.1894 0.8106 0.2500
Be2 Be 0.8106 0.1894 0.7500
Cd1 Cd 0.5000 0.5000 0.0000
Cd2 Cd 0.5000 0.5000 0.5000
F1 F 0.0746 0.2560 0.8936
F2 F 0.1861 0.6179 0.3578
F3 F 0.2560 0.0746 0.3936
F4 F 0.3821 0.8139 0.1422
F5 F 0.4129 0.5871 0.7500
F6 F 0.5871 0.4129 0.2500
F7 F 0.6179 0.1861 0.8578
F8 F 0.7440 0.9254 0.6064
F9 F 0.8139 0.3821 0.6422
F10 F 0.9254 0.7440 0.1064
```



[3]
The following is a calculated powder diffractogram of NaCd2C. It was derived from a cell relaxed with GGA-PBE, using Cu Kα (λ = 1.5418 Å).
Kinematic intensities with the Lorentz-polarization factor, no thermal factor.

Main lines, in order of falling intensity (2θ = 10–90°):
| Position (°2θ) | d (Å) | Rel. int. |
| --- | --- | --- |
| 15.55 | 5.700 | 1000 |
| 31.39 | 2.850 | 849 |
| 30.07 | 2.972 | 557 |
| 29.93 | 2.986 | 282 |
| 52.37 | 1.747 | 250 |
| 47.94 | 1.898 | 226 |
| 62.50 | 1.486 | 219 |
| 36.48 | 2.463 | 203 |
| 39.76 | 2.267 | 183 |
| 55.10 | 1.667 | 134 |
| 52.55 | 1.742 | 124 |
| 62.18 | 1.493 | 111 |

Structure:
```
data_NaCd2C
_chemical_formula_sum 'Na2 Cd4 C2'
_cell_length_a 6.9884
_cell_length_b 6.9884
_cell_length_c 6.9884
_cell_angle_alpha 120.21
_cell_angle_beta 120.21
_cell_angle_gamma 89.64
_symmetry_space_group_name_H-M 'P 1'
_symmetry_Int_Tables_number 1
loop_
_symmetry_equiv_pos_as_xyz
'x,y,z'
loop_
_atom_site_label
_atom_site_type_symbol
_atom_site_fract_x
_atom_site_fract_y
_atom_site_fract_z
Na1 Na 0.3750 0.6250 0.7500
Na2 Na 0.6250 0.3750 0.2500
Cd1 Cd 0.0000 0.0000 0.0000
Cd2 Cd 0.0000 0.0000 0.5000
Cd3 Cd 0.0000 0.5000 0.0000
Cd4 Cd 0.5000 0.0000 0.5000
C1 C 0.1250 0.8750 0.2500
C2 C 0.8750 0.1250 0.7500
```